Record 1
The following is a calculated powder diffraction line list of TcAg. It was derived from a cell relaxed with PBE, using Cu Kα (λ = 1.5418 Å).
Lines closer than 0.1° are merged.

Cell and atoms:
```
4
Lattice="4.6059 0.0000 0.0000 0.0000 2.6368 0.0000 0.0000 0.0000 5.2959" Properties=species:S:1:pos:R:3 pbc="T T T"
Tc 1.1515 0.0000 0.6118
Tc 3.4544 0.0000 4.6841
Ag 1.1515 1.3184 3.3635
Ag 3.4544 1.3184 1.9323
```

Peak list (10 most intense, 2θ from 5° to 70°, low angle first)
Position (°2θ), intensity
25.63, 2
38.13, 54
39.12, 51
39.25, 100
43.06, 78
48.74, 1
55.77, 35
63.41, 12
64.19, 1
66.95, 19

Record 2
The following is a calculated powder diffraction line list of Tc4Ag3. It was derived from a cell relaxed with PBE, using Cu Kα (λ = 1.5418 Å).
Lines closer than 0.1° are merged.

Cell and atoms:
```
7
Lattice="-1.4516 1.4516 13.6575 1.4516 -1.4516 13.6575 1.4516 1.4516 -13.6575" Properties=species:S:1:pos:R:3 pbc="T T T"
Tc 0.0000 0.0000 2.1346
Tc 0.0000 0.0000 10.0566
Tc 0.0000 0.0000 17.2584
Tc 0.0000 0.0000 25.1804
Ag 0.0000 0.0000 5.7804
Ag 0.0000 0.0000 13.6575
Ag 0.0000 0.0000 21.5347
```

Peak list (10 most intense, 2θ from 5° to 70°, low angle first)
Position (°2θ), intensity
32.37, 2
32.79, 4
38.66, 100
44.11, 37
46.55, 11
53.86, 1
56.04, 4
64.16, 12
66.06, 15
66.51, 6